Computed powder X-ray diffraction pattern
Compound: MgCuPd2Pt2
Radiation: Cu Kα (weighted mean of Kα1 and Kα2)
Structure: a DFT-relaxed cell (PBE, Alexandria)
Peak positions follow from Bragg's law for the DFT cell and can differ from measured ones.

Most intense lines, 10° ≤ 2θ ≤ 80°, by angle:
2theta	Rel. int.
28.6	77.8
40.5	40.4
40.7	78.9
41.1	100.0
50.4	12.0
56.8	12.1
59.1	22.0
73.8	13.4
74.1	11.6
74.2	18.2

Cell and atoms:
a = 4.4532 Å, b = 5.3573 Å, c = 7.6701 Å
α = 90.00°, β = 90.00°, γ = 90.00°
Fractional positions:
Mg1 0.2500 0.2500 0.0834
Mg2 0.7500 0.7500 0.9166
Cu1 0.2500 0.7500 0.4205
Cu2 0.7500 0.2500 0.5795
Pd1 0.2500 0.5013 0.7481
Pd2 0.2500 0.9987 0.7481
Pd3 0.7500 0.0013 0.2519
Pd4 0.7500 0.4987 0.2519
Pt1 0.2500 0.2500 0.4217
Pt2 0.2500 0.7500 0.0924
Pt3 0.7500 0.2500 0.9076
Pt4 0.7500 0.7500 0.5783

---

Computed powder X-ray diffraction pattern
Compound: Ca9CoP2
Radiation: Cu Kα (weighted mean of Kα1 and Kα2)
Structure: a DFT-relaxed cell (PBE, Alexandria)
Peak positions follow from Bragg's law for the DFT cell and can differ from measured ones.

Most intense lines, 10° ≤ 2θ ≤ 80°, by angle:
2theta	Rel. int.
17.1	24.5
26.8	21.4
29.7	100.0
31.9	13.8
33.8	34.7
34.0	26.7
34.6	33.9
39.3	29.0
41.4	17.0
53.3	17.6

Cell and atoms:
a = 10.6250 Å, b = 10.6250 Å, c = 4.5856 Å
α = 90.00°, β = 90.00°, γ = 131.48°
Fractional positions:
Ca1 0.0000 0.0000 0.0000
Ca2 0.0000 0.5000 0.0000
Ca3 0.2001 0.3834 0.5000
Ca4 0.2260 0.7740 0.5000
Ca5 0.3834 0.2001 0.5000
Ca6 0.5000 0.0000 0.0000
Ca7 0.6166 0.7999 0.5000
Ca8 0.7740 0.2260 0.5000
Ca9 0.7999 0.6166 0.5000
Co1 0.5000 0.5000 0.0000
P1 0.1457 0.8543 0.0000
P2 0.8543 0.1457 0.0000

---

Computed powder X-ray diffraction pattern
Compound: LiCaH3
Radiation: Cu Kα (weighted mean of Kα1 and Kα2)
Structure: a DFT-relaxed cell (PBE, Alexandria)
Peak positions follow from Bragg's law for the DFT cell and can differ from measured ones.

Most intense lines, 10° ≤ 2θ ≤ 80°, by angle:
2theta	Rel. int.
16.7	97.8
28.8	66.7
30.4	100.0
33.7	25.3
36.2	51.3
40.1	31.0
49.9	25.5
53.0	22.3
54.4	18.2
61.6	22.7

Cell and atoms:
a = 3.6518 Å, b = 3.6518 Å, c = 15.9573 Å
α = 90.00°, β = 90.00°, γ = 120.00°
Fractional positions:
Li1 0.0000 0.0000 0.0000
Li2 0.3333 0.6667 0.6667
Li3 0.6667 0.3333 0.3333
Ca1 0.0000 0.0000 0.4938
Ca2 0.3333 0.6667 0.1604
Ca3 0.6667 0.3333 0.8271
H1 0.0000 0.0000 0.1159
H2 0.0000 0.0000 0.3416
H3 0.0000 0.0000 0.8831
H4 0.3333 0.6667 0.0083
H5 0.3333 0.6667 0.5498
H6 0.3333 0.6667 0.7826
H7 0.6667 0.3333 0.2164
H8 0.6667 0.3333 0.4492
H9 0.6667 0.3333 0.6750

---

Computed powder X-ray diffraction pattern
Compound: Ba3ErTl12
Radiation: Cu Kα (weighted mean of Kα1 and Kα2)
Structure: a DFT-relaxed cell (PBE, Alexandria)
Peak positions follow from Bragg's law for the DFT cell and can differ from measured ones.

Most intense lines, 10° ≤ 2θ ≤ 80°, by angle:
2theta	Rel. int.
30.6	100.0
35.5	50.0
40.1	3.0
51.1	32.6
60.7	37.0
62.4	2.8
63.7	10.1
73.9	1.9
75.1	4.8
75.3	2.2

Cell and atoms:
a = 5.0581 Å, b = 5.0581 Å, c = 20.2252 Å
α = 90.00°, β = 90.00°, γ = 90.00°
Fractional positions:
Ba1 0.0000 0.0000 0.0000
Ba2 0.0000 0.0000 0.2650
Ba3 0.0000 0.0000 0.7350
Er1 0.0000 0.0000 0.5000
Tl1 0.0000 0.5000 0.1290
Tl2 0.0000 0.5000 0.3915
Tl3 0.0000 0.5000 0.6085
Tl4 0.0000 0.5000 0.8710
Tl5 0.5000 0.0000 0.1290
Tl6 0.5000 0.0000 0.3915
Tl7 0.5000 0.0000 0.6085
Tl8 0.5000 0.0000 0.8710
Tl9 0.5000 0.5000 0.0000
Tl10 0.5000 0.5000 0.2382
Tl11 0.5000 0.5000 0.5000
Tl12 0.5000 0.5000 0.7618

---

Computed powder X-ray diffraction pattern
Compound: AlZn2Tc
Radiation: Cu Kα (weighted mean of Kα1 and Kα2)
Structure: a DFT-relaxed cell (PBE, Alexandria)
Peak positions follow from Bragg's law for the DFT cell and can differ from measured ones.

Most intense lines, 10° ≤ 2θ ≤ 80°, by angle:
2theta	Rel. int.
21.3	10.3
27.4	8.8
34.4	8.9
40.9	100.0
42.4	12.2
42.6	11.3
43.4	21.3
62.3	7.4
62.5	7.0
77.9	13.8

Cell and atoms:
a = 2.6898 Å, b = 4.1688 Å, c = 5.3733 Å
α = 90.00°, β = 104.16°, γ = 90.00°
Fractional positions:
Al1 0.0000 0.0000 0.0000
Zn1 0.2460 0.0000 0.4875
Zn2 0.8559 0.5000 0.6991
Tc1 0.5899 0.5000 0.1826

---

Computed powder X-ray diffraction pattern
Compound: Ac2Tb6Ho3
Radiation: Cu Kα (weighted mean of Kα1 and Kα2)
Structure: a DFT-relaxed cell (PBE, Alexandria)
Peak positions follow from Bragg's law for the DFT cell and can differ from measured ones.

Most intense lines, 10° ≤ 2θ ≤ 80°, by angle:
2theta	Rel. int.
30.2	34.2
30.6	100.0
35.3	67.4
50.6	23.8
51.0	24.3
60.1	13.8
60.5	28.2
60.7	14.4
63.6	12.4
74.7	7.5

Cell and atoms:
a = 6.1986 Å, b = 6.1986 Å, c = 12.0187 Å
α = 94.96°, β = 94.96°, γ = 120.03°
Fractional positions:
Ac1 0.1668 0.8332 0.0000
Ac2 0.8332 0.1668 0.0000
Tb1 0.0803 0.4132 0.7391
Tb2 0.2539 0.2539 0.2606
Tb3 0.4132 0.0803 0.7391
Tb4 0.5868 0.9197 0.2609
Tb5 0.7461 0.7461 0.7394
Tb6 0.9197 0.5868 0.2609
Ho1 0.0000 0.0000 0.5000
Ho2 0.3348 0.6652 0.5000
Ho3 0.6652 0.3348 0.5000

---

Computed powder X-ray diffraction pattern
Compound: LiAgF6
Radiation: Cu Kα (weighted mean of Kα1 and Kα2)
Structure: a DFT-relaxed cell (PBE, Alexandria)
Peak positions follow from Bragg's law for the DFT cell and can differ from measured ones.

Most intense lines, 10° ≤ 2θ ≤ 80°, by angle:
2theta	Rel. int.
18.7	40.2
20.6	100.0
28.0	90.9
40.9	48.6
43.6	21.0
46.2	21.6
53.3	30.6
57.8	12.1
59.9	19.6
64.8	12.9

Cell and atoms:
a = 4.9860 Å, b = 4.9860 Å, c = 9.4775 Å
α = 90.00°, β = 90.00°, γ = 120.00°
Fractional positions:
Li1 0.3333 0.6667 0.2500
Li2 0.6667 0.3333 0.7500
Ag1 0.0000 0.0000 0.0000
Ag2 0.0000 0.0000 0.5000
F1 0.0063 0.3198 0.1194
F2 0.0063 0.6865 0.3806
F3 0.3135 0.3198 0.3806
F4 0.3135 0.9937 0.1194
F5 0.3198 0.0063 0.6194
F6 0.3198 0.3135 0.8806
F7 0.6802 0.6865 0.1194
F8 0.6802 0.9937 0.3806
F9 0.6865 0.0063 0.8806
F10 0.6865 0.6802 0.6194
F11 0.9937 0.3135 0.6194
F12 0.9937 0.6802 0.8806

---

Computed powder X-ray diffraction pattern
Compound: Ni2SbAs
Radiation: Cu Kα (weighted mean of Kα1 and Kα2)
Structure: a DFT-relaxed cell (PBE, Alexandria)
Peak positions follow from Bragg's law for the DFT cell and can differ from measured ones.

Most intense lines, 10° ≤ 2θ ≤ 80°, by angle:
2theta	Rel. int.
32.1	50.2
32.4	100.0
44.8	35.9
45.0	67.2
47.5	59.1
48.1	26.6
59.1	17.1
61.5	15.4
67.2	10.9
67.9	16.9

Cell and atoms:
a = 7.5615 Å, b = 6.6519 Å, c = 5.0945 Å
α = 90.00°, β = 90.00°, γ = 90.00°
Fractional positions:
Ni1 0.1057 0.2500 0.0000
Ni2 0.1057 0.2500 0.5000
Ni3 0.3545 0.7500 0.0000
Ni4 0.3545 0.7500 0.5000
Ni5 0.6455 0.2500 0.0000
Ni6 0.6455 0.2500 0.5000
Ni7 0.8943 0.7500 0.0000
Ni8 0.8943 0.7500 0.5000
Sb1 0.3732 0.0878 0.2500
Sb2 0.3732 0.4122 0.7500
Sb3 0.6268 0.5878 0.2500
Sb4 0.6268 0.9122 0.7500
As1 0.1224 0.5746 0.2500
As2 0.1224 0.9254 0.7500
As3 0.8776 0.0746 0.2500
As4 0.8776 0.4254 0.7500

---

Computed powder X-ray diffraction pattern
Compound: K2MgBr
Radiation: Cu Kα (weighted mean of Kα1 and Kα2)
Structure: a DFT-relaxed cell (PBE, Alexandria)
Peak positions follow from Bragg's law for the DFT cell and can differ from measured ones.

Most intense lines, 10° ≤ 2θ ≤ 80°, by angle:
2theta	Rel. int.
17.3	20.9
21.8	36.8
25.0	45.4
25.6	49.3
30.6	22.8
31.1	59.3
32.0	100.0
35.5	27.8
37.6	29.8
54.3	29.5

Cell and atoms:
a = 20.8831 Å, b = 4.0490 Å, c = 4.1698 Å
α = 90.00°, β = 101.46°, γ = 90.00°
Fractional positions:
K1 0.0000 0.0000 0.0000
K2 0.2042 0.0000 0.7036
K3 0.5000 0.5000 0.0000
K4 0.7042 0.5000 0.7036
Mg1 0.3710 0.0000 0.3700
Mg2 0.8710 0.5000 0.3700
Br1 0.1277 0.5000 0.1276
Br2 0.6277 0.0000 0.1276

---

Computed powder X-ray diffraction pattern
Compound: Sm3Tm2Rh2
Radiation: Cu Kα (weighted mean of Kα1 and Kα2)
Structure: a DFT-relaxed cell (PBE, Alexandria)
Peak positions follow from Bragg's law for the DFT cell and can differ from measured ones.

Most intense lines, 10° ≤ 2θ ≤ 80°, by angle:
2theta	Rel. int.
30.3	51.4
30.8	83.2
32.1	93.7
32.9	100.0
33.9	61.6
34.3	74.5
35.6	69.3
38.9	44.8
47.2	53.4
58.7	58.1

Cell and atoms:
a = 12.0879 Å, b = 3.8534 Å, c = 8.8734 Å
α = 90.00°, β = 115.34°, γ = 90.00°
Fractional positions:
Sm1 0.0000 0.0000 0.0000
Sm2 0.1137 0.0000 0.4287
Sm3 0.3863 0.5000 0.5713
Sm4 0.5000 0.5000 0.0000
Sm5 0.6137 0.5000 0.4287
Sm6 0.8863 0.0000 0.5713
Tm1 0.1698 0.5000 0.8129
Tm2 0.3302 0.0000 0.1871
Tm3 0.6698 0.0000 0.8129
Tm4 0.8302 0.5000 0.1871
Rh1 0.1846 0.5000 0.2378
Rh2 0.3154 0.0000 0.7622
Rh3 0.6846 0.0000 0.2378
Rh4 0.8154 0.5000 0.7622

---

Computed powder X-ray diffraction pattern
Compound: Dy6Tm8In
Radiation: Cu Kα (weighted mean of Kα1 and Kα2)
Structure: a DFT-relaxed cell (PBE, Alexandria)
Peak positions follow from Bragg's law for the DFT cell and can differ from measured ones.

Most intense lines, 10° ≤ 2θ ≤ 80°, by angle:
2theta	Rel. int.
31.0	36.0
32.0	100.0
32.3	63.9
33.6	45.6
33.7	16.8
35.7	21.5
37.5	22.1
54.7	20.5
56.4	16.2
61.8	22.6

Cell and atoms:
a = 8.3958 Å, b = 8.3958 Å, c = 8.3958 Å
α = 64.05°, β = 64.05°, γ = 64.05°
Fractional positions:
Dy1 0.0483 0.7280 0.6074
Dy2 0.2720 0.3926 0.9517
Dy3 0.3926 0.9517 0.2720
Dy4 0.6074 0.0483 0.7280
Dy5 0.7280 0.6074 0.0483
Dy6 0.9517 0.2720 0.3926
Tm1 0.0759 0.0759 0.0759
Tm2 0.2166 0.2458 0.6092
Tm3 0.2458 0.6092 0.2166
Tm4 0.3908 0.7834 0.7542
Tm5 0.6092 0.2166 0.2458
Tm6 0.7542 0.3908 0.7834
Tm7 0.7834 0.7542 0.3908
Tm8 0.9241 0.9241 0.9241
In1 0.5000 0.5000 0.5000

---

Computed powder X-ray diffraction pattern
Compound: Ca2TmCu2S4
Radiation: Cu Kα (weighted mean of Kα1 and Kα2)
Structure: a DFT-relaxed cell (PBE, Alexandria)
Peak positions follow from Bragg's law for the DFT cell and can differ from measured ones.

Most intense lines, 10° ≤ 2θ ≤ 80°, by angle:
2theta	Rel. int.
13.5	100.0
27.3	24.0
31.0	56.4
35.2	22.5
36.1	58.0
37.8	55.3
39.3	20.0
41.4	23.6
45.4	24.5
49.1	19.6

Cell and atoms:
a = 7.4011 Å, b = 7.4011 Å, c = 7.1483 Å
α = 113.01°, β = 113.01°, γ = 29.06°
Fractional positions:
Ca1 0.1350 0.1350 0.0815
Ca2 0.8650 0.8650 0.9185
Tm1 0.0000 0.0000 0.5000
Cu1 0.3128 0.3128 0.4770
Cu2 0.6872 0.6872 0.5230
S1 0.2004 0.2004 0.7459
S2 0.4727 0.4727 0.7534
S3 0.5273 0.5273 0.2466
S4 0.7996 0.7996 0.2541